# RbCrF5
Simulated powder diffraction line list, Cu Kα (weighted mean of Kα1 and Kα2). Input: DFT lattice parameters and positions (PBE+U).
Lines closer than 0.1° are merged.

Atomic structure:
```
data_RbCrF5
_chemical_formula_sum 'Rb4 Cr4 F20'
_cell_length_a 5.6561
_cell_length_b 7.8498
_cell_length_c 10.4982
_cell_angle_alpha 90.00
_cell_angle_beta 90.00
_cell_angle_gamma 90.00
_space_group_name_H-M_alt 'P m c 21'
_space_group_IT_number 26
_space_group_name_Hall 'P 2c -2'
loop_
_atom_site_label
_atom_site_type_symbol
_atom_site_fract_x
_atom_site_fract_y
_atom_site_fract_z
_atom_site_occupancy
Rb1 Rb 0.0000 0.1201 0.0000 1
Rb2 Rb 0.5000 0.3713 0.6477 1
Cr1 Cr 0.0000 0.4200 0.3565 1
Cr2 Cr 0.5000 0.1183 0.2629 1
F1 F 0.0000 0.2428 0.4661 1
F2 F 0.0000 0.4371 0.7200 1
F3 F 0.2285 0.4592 0.9381 1
F4 F 0.2487 0.2972 0.2581 1
F5 F 0.2725 0.0456 0.7584 1
F6 F 0.5000 0.1449 0.4333 1
F7 F 0.5000 0.1514 0.0916 1
```

Principal peaks in the range 15° ≤ 2θ ≤ 90°, low angle first:
2θ/deg	intensity
21.13	280
23.12	1000
24.21	661
25.79	891
27.91	337
28.97	898
31.64	354
36.08	432
37.93	491
40.23	654

# Rb2Cr3F9
Simulated powder diffraction line list, Cu Kα (weighted mean of Kα1 and Kα2). Input: DFT lattice parameters and positions (PBE+U).
Lines closer than 0.1° are merged.

Atomic structure:
```
data_Rb2Cr3F9
_chemical_formula_sum 'Rb8 Cr12 F36'
_cell_length_a 9.8002
_cell_length_b 12.7491
_cell_length_c 8.4399
_cell_angle_alpha 90.00
_cell_angle_beta 112.73
_cell_angle_gamma 90.00
_space_group_name_H-M_alt 'C 1 2/c 1'
_space_group_IT_number 15
_space_group_name_Hall '-C 2yc'
loop_
_atom_site_label
_atom_site_type_symbol
_atom_site_fract_x
_atom_site_fract_y
_atom_site_fract_z
_atom_site_occupancy
Rb1 Rb 0.2268 0.0096 0.2692 1
Cr1 Cr 0.0829 0.2375 0.4984 1
Cr2 Cr 0.2500 0.2500 0.0000 1
F1 F 0.0000 0.1849 0.2500 1
F2 F 0.0951 0.3340 0.0346 1
F3 F 0.1179 0.1302 0.9611 1
F4 F 0.1650 0.2835 0.7534 1
F5 F 0.2455 0.3600 0.4562 1
```

Principal peaks in the range 15° ≤ 2θ ≤ 90°, low angle first:
2θ/deg	intensity
19.64	403
24.14	364
26.84	1000
27.59	197
27.99	307
28.20	164
34.63	339
36.57	260
46.67	223
51.15	197

# Rb2Cr3F10
Simulated powder diffraction line list, Cu Kα (weighted mean of Kα1 and Kα2). Input: DFT lattice parameters and positions (PBE+U).
Lines closer than 0.1° are merged.

Atomic structure:
```
data_Rb2Cr3F10
_chemical_formula_sum 'Rb8 Cr12 F40'
_cell_length_a 19.7404
_cell_length_b 6.2919
_cell_length_c 7.9751
_cell_angle_alpha 90.00
_cell_angle_beta 113.78
_cell_angle_gamma 90.00
_space_group_name_H-M_alt 'C 1 2/m 1'
_space_group_IT_number 12
_space_group_name_Hall '-C 2y'
loop_
_atom_site_label
_atom_site_type_symbol
_atom_site_fract_x
_atom_site_fract_y
_atom_site_fract_z
_atom_site_occupancy
Rb1 Rb 0.1139 0.0000 0.0098 1
Rb2 Rb 0.2160 0.0000 0.5983 1
Cr1 Cr 0.0000 0.2456 0.5000 1
Cr2 Cr 0.0742 0.5000 0.1797 1
Cr3 Cr 0.1841 0.5000 0.8528 1
F1 F 0.0000 0.2997 0.0000 1
F2 F 0.0146 0.0000 0.3550 1
F3 F 0.0200 0.5000 0.3488 1
F4 F 0.1173 0.2805 0.7115 1
F5 F 0.1321 0.5000 0.0252 1
F6 F 0.1353 0.2798 0.3154 1
F7 F 0.2388 0.5000 0.7073 1
F8 F 0.2500 0.2500 0.0000 1
```

Principal peaks in the range 15° ≤ 2θ ≤ 90°, low angle first:
2θ/deg	intensity
26.75	690
26.93	1000
27.09	735
28.37	228
30.96	208
37.77	314
39.63	574
47.59	267
54.51	226
63.85	250

# Rb4CrF6
Simulated powder diffraction line list, Cu Kα (weighted mean of Kα1 and Kα2). Input: DFT lattice parameters and positions (PBE+U).
Lines closer than 0.1° are merged.

Atomic structure:
```
data_Rb4CrF6
_chemical_formula_sum 'Rb24 Cr6 F36'
_cell_length_a 10.7598
_cell_length_b 10.7598
_cell_length_c 13.4701
_cell_angle_alpha 90.00
_cell_angle_beta 90.00
_cell_angle_gamma 120.00
_space_group_name_H-M_alt 'R -3 c'
_space_group_IT_number 167
_space_group_name_Hall '-R 3 2"c'
loop_
_atom_site_label
_atom_site_type_symbol
_atom_site_fract_x
_atom_site_fract_y
_atom_site_fract_z
_atom_site_occupancy
Rb1 Rb 0.0000 0.0000 0.2500 1
Rb2 Rb 0.0000 0.3653 0.2500 1
Cr1 Cr 0.0000 0.0000 0.0000 1
F1 F 0.0229 0.1742 0.4069 1
```

Principal peaks in the range 15° ≤ 2θ ≤ 90°, low angle first:
2θ/deg	intensity
25.85	828
28.74	1000
32.81	243
35.36	201
36.93	306
39.03	653
40.17	198
50.14	200
50.57	264
50.90	206

Please write out number 1 again, unchanged.
# RbCrF5
Simulated powder diffraction line list, Cu Kα (weighted mean of Kα1 and Kα2). Input: DFT lattice parameters and positions (PBE+U).
Lines closer than 0.1° are merged.

Atomic structure:
```
data_RbCrF5
_chemical_formula_sum 'Rb4 Cr4 F20'
_cell_length_a 5.6561
_cell_length_b 7.8498
_cell_length_c 10.4982
_cell_angle_alpha 90.00
_cell_angle_beta 90.00
_cell_angle_gamma 90.00
_space_group_name_H-M_alt 'P m c 21'
_space_group_IT_number 26
_space_group_name_Hall 'P 2c -2'
loop_
_atom_site_label
_atom_site_type_symbol
_atom_site_fract_x
_atom_site_fract_y
_atom_site_fract_z
_atom_site_occupancy
Rb1 Rb 0.0000 0.1201 0.0000 1
Rb2 Rb 0.5000 0.3713 0.6477 1
Cr1 Cr 0.0000 0.4200 0.3565 1
Cr2 Cr 0.5000 0.1183 0.2629 1
F1 F 0.0000 0.2428 0.4661 1
F2 F 0.0000 0.4371 0.7200 1
F3 F 0.2285 0.4592 0.9381 1
F4 F 0.2487 0.2972 0.2581 1
F5 F 0.2725 0.0456 0.7584 1
F6 F 0.5000 0.1449 0.4333 1
F7 F 0.5000 0.1514 0.0916 1
```

Principal peaks in the range 15° ≤ 2θ ≤ 90°, low angle first:
2θ/deg	intensity
21.13	280
23.12	1000
24.21	661
25.79	891
27.91	337
28.97	898
31.64	354
36.08	432
37.93	491
40.23	654